# 1
# HgBi2RhO6
Calculated powder diffraction line list, Cu Kα (λ = 1.5418 Å). Input: a GGA-PBE-relaxed structure.
Lines closer than 0.1° are merged.

The 8 most intense peaks (10 to 90 degrees two-theta), low angle first:
- 28.73°, I 87
- 30.75°, I 100
- 33.48°, I 31
- 42.58°, I 33
- 53.44°, I 34
- 54.68°, I 28
- 61.73°, I 19
- 71.68°, I 16

Structural model:
```
HgBi2RhO6
1.0
2.9072 1.6785 5.2665
-2.9072 1.6785 5.2665
0.0000 -3.3569 5.2665
Hg Bi Rh O
1 2 1 6
Direct
0.0000 0.0000 0.0000 Hg
0.2253 0.2253 0.2253 Bi
0.7514 0.7514 0.7514 Bi
0.4257 0.4257 0.4257 Rh
0.0624 0.6025 0.3645 O
0.1830 0.5036 0.7891 O
0.3645 0.0624 0.6025 O
0.5036 0.7891 0.1830 O
0.6025 0.3645 0.0624 O
0.7891 0.1830 0.5036 O
```


# 2
# Tb3SiBr3
Calculated powder diffraction line list, Cu Kα (λ = 1.5418 Å). Input: a GGA-PBE-relaxed structure.
Lines closer than 0.1° are merged.

The 8 most intense peaks (10 to 90 degrees two-theta), low angle first:
- 10.73°, I 22
- 28.66°, I 32
- 30.68°, I 100
- 36.14°, I 16
- 43.94°, I 71
- 54.54°, I 24
- 72.54°, I 28
- 80.78°, I 20

Structural model:
```
Tb3SiBr3
1.0
-5.8281 5.8281 5.8281
5.8281 -5.8281 5.8281
5.8281 5.8281 -5.8281
Tb Si Br
12 4 12
Direct
0.0123 0.0246 0.2623 Tb
0.0123 0.4877 0.7500 Tb
0.0246 0.2623 0.0123 Tb
0.2377 0.2623 0.7500 Tb
0.2377 0.4754 0.4877 Tb
0.2623 0.0123 0.0246 Tb
0.2623 0.7500 0.2377 Tb
0.4754 0.4877 0.2377 Tb
0.4877 0.2377 0.4754 Tb
0.4877 0.7500 0.0123 Tb
0.7500 0.0123 0.4877 Tb
0.7500 0.2377 0.2623 Tb
0.0000 0.2500 0.5000 Si
0.2500 0.2500 0.2500 Si
0.2500 0.5000 0.0000 Si
0.5000 0.0000 0.2500 Si
0.2500 0.7549 0.7451 Br
0.2500 0.9951 0.5049 Br
0.5049 0.2500 0.9951 Br
0.5049 0.7549 0.5098 Br
0.5098 0.5049 0.7549 Br
0.7451 0.2500 0.7549 Br
0.7451 0.9951 0.9902 Br
0.7549 0.5098 0.5049 Br
0.7549 0.7451 0.2500 Br
0.9902 0.7451 0.9951 Br
0.9951 0.5049 0.2500 Br
0.9951 0.9902 0.7451 Br
```


# 3
# AlGeAu6
Calculated powder diffraction line list, Cu Kα (λ = 1.5418 Å). Input: a GGA-PBE-relaxed structure.
Lines closer than 0.1° are merged.

The 8 most intense peaks (10 to 90 degrees two-theta), low angle first:
- 15.58°, I 10
- 35.62°, I 72
- 40.58°, I 100
- 51.20°, I 13
- 51.32°, I 13
- 67.34°, I 46
- 77.00°, I 15
- 87.83°, I 11

Structural model:
```
AlGeAu6
1.0
0.0000 3.5684 5.6878
3.5605 0.0000 5.6878
3.5605 3.5684 0.0000
Al Ge Au
1 1 6
Direct
0.0000 0.0000 0.0000 Al
0.5000 0.5000 0.5000 Ge
0.1223 0.1223 0.3777 Au
0.2418 0.2418 0.7582 Au
0.3777 0.3777 0.1223 Au
0.6223 0.6223 0.8777 Au
0.7582 0.7582 0.2418 Au
0.8777 0.8777 0.6223 Au
```


# 4
# GdPu3
Calculated powder diffraction line list, Cu Kα (λ = 1.5418 Å). Input: a GGA-PBE-relaxed structure.
Lines closer than 0.1° are merged.

The 8 most intense peaks (10 to 90 degrees two-theta), low angle first:
- 31.13°, I 45
- 33.47°, I 48
- 34.10°, I 85
- 35.46°, I 100
- 46.36°, I 31
- 61.12°, I 21
- 64.58°, I 23
- 67.51°, I 24

Structural model:
```
GdPu3
1.0
3.2669 0.0000 0.0000
0.0000 5.3547 0.0000
0.0000 0.0000 6.0364
Gd Pu
1 3
Direct
0.0000 0.0000 0.0000 Gd
0.0000 0.5000 0.3023 Pu
0.5000 0.0000 0.5038 Pu
0.5000 0.5000 0.7725 Pu
```


# 5
# La2Pr3Ho2
Calculated powder diffraction line list, Cu Kα (λ = 1.5418 Å). Input: a GGA-PBE-relaxed structure.
Lines closer than 0.1° are merged.

The 8 most intense peaks (10 to 90 degrees two-theta), low angle first:
- 29.71°, I 51
- 29.82°, I 100
- 29.91°, I 50
- 34.48°, I 68
- 34.72°, I 33
- 49.62°, I 24
- 49.73°, I 24
- 58.90°, I 22

Structural model:
```
La2Pr3Ho2
1.0
6.3335 0.0000 0.0000
-1.0568 6.2797 0.0000
-1.1010 -1.2790 6.1540
La Pr Ho
2 3 2
Direct
0.0742 0.2892 0.1437 La
0.9258 0.7108 0.8563 La
0.2131 0.8546 0.4287 Pr
0.5000 0.0000 0.0000 Pr
0.7869 0.1454 0.5713 Pr
0.3601 0.4285 0.7147 Ho
0.6399 0.5715 0.2853 Ho
```


# 6
# TmPaSe2O
Calculated powder diffraction line list, Cu Kα (λ = 1.5418 Å). Input: a GGA-PBE-relaxed structure.
Lines closer than 0.1° are merged.

The 8 most intense peaks (10 to 90 degrees two-theta), low angle first:
- 25.74°, I 34
- 26.14°, I 64
- 32.32°, I 100
- 34.59°, I 58
- 41.77°, I 46
- 46.36°, I 42
- 59.11°, I 25
- 77.00°, I 32

Structural model:
```
TmPaSe2O
1.0
3.9170 0.0000 0.0000
0.0000 3.9170 0.0000
0.0000 0.0000 13.8418
Tm Pa Se O
2 2 4 2
Direct
0.2500 0.2500 0.0960 Tm
0.7500 0.7500 0.9040 Tm
0.2500 0.2500 0.5954 Pa
0.7500 0.7500 0.4046 Pa
0.2500 0.2500 0.3057 Se
0.2500 0.2500 0.8874 Se
0.7500 0.7500 0.1126 Se
0.7500 0.7500 0.6943 Se
0.2500 0.7500 0.5000 O
0.7500 0.2500 0.5000 O
```


# 7
# Ba2InH12Rh3
Calculated powder diffraction line list, Cu Kα (λ = 1.5418 Å). Input: a GGA-PBE-relaxed structure.
Lines closer than 0.1° are merged.

The 8 most intense peaks (10 to 90 degrees two-theta), low angle first:
- 26.98°, I 39
- 27.90°, I 30
- 31.80°, I 56
- 32.20°, I 100
- 32.99°, I 64
- 33.39°, I 65
- 51.60°, I 35
- 55.62°, I 35

Structural model:
```
Ba2InH12Rh3
1.0
3.3048 1.9080 5.1413
-3.3048 1.9080 5.1413
0.0000 -3.8161 5.1413
Ba In H Rh
2 1 12 3
Direct
0.1176 0.1176 0.1176 Ba
0.8824 0.8824 0.8824 Ba
0.5000 0.5000 0.5000 In
0.1231 0.6025 0.6025 H
0.1851 0.1851 0.5930 H
0.1851 0.5930 0.1851 H
0.3975 0.3975 0.8769 H
0.3975 0.8769 0.3975 H
0.4070 0.8149 0.8149 H
0.5930 0.1851 0.1851 H
0.6025 0.1231 0.6025 H
0.6025 0.6025 0.1231 H
0.8149 0.4070 0.8149 H
0.8149 0.8149 0.4070 H
0.8769 0.3975 0.3975 H
0.0000 0.5000 0.5000 Rh
0.5000 0.0000 0.5000 Rh
0.5000 0.5000 0.0000 Rh
```


# 8
# ThZr3Sc6
Calculated powder diffraction line list, Cu Kα (λ = 1.5418 Å). Input: a GGA-PBE-relaxed structure.
Lines closer than 0.1° are merged.

The 8 most intense peaks (10 to 90 degrees two-theta), low angle first:
- 17.21°, I 42
- 19.81°, I 33
- 26.51°, I 34
- 28.43°, I 34
- 31.37°, I 23
- 34.84°, I 100
- 35.81°, I 35
- 41.69°, I 23

Structural model:
```
ThZr3Sc6
1.0
6.2777 -6.3975 0.0000
6.2777 6.3975 0.0000
0.0000 0.0000 6.2951
Th Zr Sc
2 6 12
Direct
0.2060 0.7940 0.5000 Th
0.7940 0.2060 0.0000 Th
0.1718 0.2343 0.5150 Zr
0.2343 0.1718 0.0150 Zr
0.4063 0.5937 0.2655 Zr
0.5937 0.4063 0.7655 Zr
0.7657 0.8282 0.5150 Zr
0.8282 0.7657 0.0150 Zr
0.0033 0.9967 0.2582 Sc
0.0694 0.4802 0.2009 Sc
0.2106 0.7894 0.0045 Sc
0.2811 0.4828 0.7857 Sc
0.4802 0.0694 0.7009 Sc
0.4828 0.2811 0.2857 Sc
0.5172 0.7189 0.7857 Sc
0.5198 0.9306 0.2009 Sc
0.7189 0.5172 0.2857 Sc
0.7894 0.2106 0.5045 Sc
0.9306 0.5198 0.7009 Sc
0.9967 0.0033 0.7582 Sc
```


# 9
# Sr3Tl3Pd2
Calculated powder diffraction line list, Cu Kα (λ = 1.5418 Å). Input: a GGA-PBE-relaxed structure.
Lines closer than 0.1° are merged.

The 8 most intense peaks (10 to 90 degrees two-theta), low angle first:
- 17.70°, I 46
- 29.14°, I 67
- 30.69°, I 66
- 32.59°, I 100
- 34.33°, I 77
- 34.83°, I 76
- 36.94°, I 90
- 39.94°, I 57

Structural model:
```
Sr3Tl3Pd2
1.0
8.4942 0.0000 0.0000
0.0000 17.7015 0.0000
0.0000 0.0000 6.2034
Sr Tl Pd
12 12 8
Direct
0.0404 0.1066 0.1166 Sr
0.0404 0.3934 0.1166 Sr
0.1723 0.2500 0.6436 Sr
0.3277 0.7500 0.1436 Sr
0.4596 0.6066 0.6166 Sr
0.4596 0.8934 0.6166 Sr
0.5404 0.1066 0.3834 Sr
0.5404 0.3934 0.3834 Sr
0.6723 0.2500 0.8564 Sr
0.8277 0.7500 0.3564 Sr
0.9596 0.6066 0.8834 Sr
0.9596 0.8934 0.8834 Sr
0.1668 0.7500 0.6402 Tl
0.1822 0.0383 0.6106 Tl
0.1822 0.4617 0.6106 Tl
0.3178 0.5383 0.1106 Tl
0.3178 0.9617 0.1106 Tl
0.3332 0.2500 0.1402 Tl
0.6668 0.7500 0.8598 Tl
0.6822 0.0383 0.8894 Tl
0.6822 0.4617 0.8894 Tl
0.8178 0.5383 0.3894 Tl
0.8178 0.9617 0.3894 Tl
0.8332 0.2500 0.3598 Tl
0.1091 0.6160 0.3930 Pd
0.1091 0.8840 0.3930 Pd
0.3909 0.1160 0.8930 Pd
0.3909 0.3840 0.8930 Pd
0.6091 0.6160 0.1070 Pd
0.6091 0.8840 0.1070 Pd
0.8909 0.1160 0.6070 Pd
0.8909 0.3840 0.6070 Pd
```


# 10
# Na11Hg9Au4
Calculated powder diffraction line list, Cu Kα (λ = 1.5418 Å). Input: a GGA-PBE-relaxed structure.
Lines closer than 0.1° are merged.

The 8 most intense peaks (10 to 90 degrees two-theta), low angle first:
- 21.34°, I 92
- 25.58°, I 61
- 33.55°, I 100
- 36.48°, I 46
- 42.66°, I 45
- 43.49°, I 25
- 51.13°, I 20
- 58.02°, I 24

Structural model:
```
Na11Hg9Au4
1.0
6.9576 -10.4608 0.0000
6.9576 10.4608 0.0000
0.0000 0.0000 4.1624
Na Hg Au
11 9 4
Direct
0.0000 0.0000 0.0000 Na
0.0706 0.4124 0.0000 Na
0.1644 0.8356 0.0000 Na
0.2991 0.2991 0.0000 Na
0.3661 0.6339 0.0000 Na
0.4124 0.0706 0.0000 Na
0.5876 0.9294 0.0000 Na
0.6339 0.3661 0.0000 Na
0.7009 0.7009 0.0000 Na
0.8356 0.1644 0.0000 Na
0.9294 0.5876 0.0000 Na
0.0622 0.2145 0.5000 Hg
0.1467 0.6282 0.5000 Hg
0.2145 0.0622 0.5000 Hg
0.3718 0.8533 0.5000 Hg
0.5000 0.5000 0.5000 Hg
0.6282 0.1467 0.5000 Hg
0.7855 0.9378 0.5000 Hg
0.8533 0.3718 0.5000 Hg
0.9378 0.7855 0.5000 Hg
0.2509 0.4509 0.5000 Au
0.4509 0.2509 0.5000 Au
0.5491 0.7491 0.5000 Au
0.7491 0.5491 0.5000 Au
```